The following is a calculated powder XRD pattern of RbNaVF4. It was derived from a cell relaxed with GGA+U, using CuKα.
Lines closer than 0.1° are merged.

Structure:
```
14
Lattice="4.193 0.000 0.000 0.000 4.193 0.000 0.000 0.000 13.125" Properties=species:S:1:pos:R:3 pbc="T T T"
Rb 0.000 0.000 0.000
Rb 2.096 2.096 6.563
Na 0.000 0.000 9.291
Na 2.096 2.096 2.728
V 0.000 0.000 4.629
V 2.096 2.096 11.191
F 0.000 0.000 2.567
F 0.000 0.000 6.815
F 0.000 2.096 4.496
F 0.000 2.096 11.059
F 2.096 0.000 4.496
F 2.096 0.000 11.059
F 2.096 2.096 0.252
F 2.096 2.096 9.130
```

Most intense lines, 10 to 90 degrees two-theta, low angle first:
| 2θ (°) | d (Å) | I_rel | h k l |
| --- | --- | --- | --- |
| 13.49 | 6.563 | 58 | 0 0 2 |
| 22.26 | 3.994 | 37 | 1 0 1 |
| 29.51 | 3.027 | 100 | 1 0 3 |
| 30.14 | 2.965 | 91 | 1 1 0 |
| 41.03 | 2.200 | 35 | 1 1 4 |
| 43.15 | 2.096 | 71 | 2 0 0 |
| 53.14 | 1.723 | 38 | 2 1 3 |
| 61.24 | 1.514 | 34 | 2 0 6 |